1.
This entry pairs a crystal structure of CuBPb with its calculated XRD peak list. Radiation: a wavelength of 1.5418 Å. Structure: the PBE geometry in Alexandria.

Structure:
Lattice parameters (Å, degrees): 3.1299 3.9085 9.6863 83.70 81.85 66.73
Element x y z (fractional)
Cu1 0.0000 0.0000 0.0000
Cu2 0.2312 0.3758 0.1808
B1 0.2936 0.4444 0.9605
B2 0.7216 0.5693 0.9839
Pb1 0.4015 0.4412 0.6859
Pb2 0.8623 0.9296 0.3775

Peak list (8 most intense, 15° ≤ 2θ ≤ 90°, low angle first)
(hkl)	two_theta	d/Å	Rel. int.
0 1 1	26.0	3.424	74.0
0 0 3	28.0	3.191	95.5
0 1 2	30.3	2.954	97.5
1 1 0	31.6	2.829	91.8
1 0 1	31.7	2.824	70.0
0 1 -2	32.1	2.791	100.0
1 0 -2	38.4	2.345	62.6
1 1 3	39.2	2.299	57.4

---

2.
This entry pairs a crystal structure of Cu5BPt2 with its calculated XRD peak list. Radiation: a wavelength of 1.5418 Å. Structure: the PBE geometry in Alexandria.

Structure:
Lattice parameters (Å, degrees): 6.4306 11.2815 2.7279 90.00 90.00 90.00
Element x y z (fractional)
Cu1 0.0000 0.0000 0.0000
Cu2 0.0223 0.2243 0.0000
Cu3 0.2363 0.3716 0.5000
Cu4 0.2637 0.8716 0.5000
Cu5 0.4777 0.7243 0.0000
Cu6 0.5000 0.5000 0.0000
Cu7 0.5223 0.2757 0.0000
Cu8 0.7363 0.1284 0.5000
Cu9 0.7637 0.6284 0.5000
Cu10 0.9777 0.7757 0.0000
B1 0.0000 0.5000 0.0000
B2 0.5000 0.0000 0.0000
Pt1 0.1818 0.6067 0.5000
Pt2 0.3182 0.1067 0.5000
Pt3 0.6818 0.8933 0.5000
Pt4 0.8182 0.3933 0.5000

Peak list (8 most intense, 15° ≤ 2θ ≤ 90°, low angle first)
(hkl)	two_theta	d/Å	Rel. int.
1 2 0	20.9	4.241	74.9
1 1 1	36.6	2.452	49.0
2 3 0	36.8	2.444	33.9
2 4 0	42.6	2.120	84.2
3 1 0	42.9	2.106	43.7
2 0 1	43.5	2.080	95.7
0 4 1	46.3	1.961	100.0
3 5 1	69.6	1.350	37.4